LiGdTe3Pb: simulated X-ray powder pattern (CuKα), based on DFT lattice parameters and positions (PBE).
Neutral-atom scattering factors, no anomalous dispersion.

Main lines, in order of rising 2θ (10° ≤ 2θ ≤ 90°):
Position (°2θ)	I (rel.)
19.7	44.7
26.3	32.6
27.4	31.3
28.5	75.5
31.2	24.6
31.6	100.0
37.9	35.2
40.4	47.6
40.9	28.4
48.5	28.3

Structure:
Unit cell a=7.590 b=7.590 c=11.481 alpha=90.00 beta=90.00 gamma=146.21
Fractional positions:
Li: 0.023 0.977 0.750
Li: 0.977 0.023 0.250
Gd: 0.500 0.500 0.000
Gd: 0.500 0.500 0.500
Te: 0.142 0.858 0.565
Te: 0.142 0.858 0.935
Te: 0.412 0.588 0.750
Te: 0.588 0.412 0.250
Te: 0.858 0.142 0.065
Te: 0.858 0.142 0.435
Pb: 0.261 0.739 0.250
Pb: 0.739 0.261 0.750



Tl5Cd: simulated X-ray powder pattern (CuKα), based on DFT lattice parameters and positions (PBE).
Neutral-atom scattering factors, no anomalous dispersion.

Main lines, in order of rising 2θ (10° ≤ 2θ ≤ 90°):
Position (°2θ)	I (rel.)
28.2	15.6
29.3	27.7
32.3	48.7
33.3	100.0
34.2	14.9
41.1	11.2
56.4	14.6
57.1	9.6
59.5	16.0
61.3	11.1

Structure:
Unit cell a=11.415 b=11.415 c=11.415 alpha=90.00 beta=90.00 gamma=90.00
Fractional positions:
Tl: 0.000 0.000 0.223
Tl: 0.000 0.000 0.777
Tl: 0.000 0.223 0.000
Tl: 0.000 0.777 0.000
Tl: 0.055 0.293 0.293
Tl: 0.055 0.707 0.707
Tl: 0.140 0.500 0.500
Tl: 0.153 0.153 0.527
Tl: 0.153 0.473 0.847
Tl: 0.153 0.527 0.153
Tl: 0.153 0.847 0.473
Tl: 0.223 0.000 0.000
Tl: 0.293 0.055 0.293
Tl: 0.293 0.293 0.055
Tl: 0.293 0.707 0.945
Tl: 0.293 0.945 0.707
Tl: 0.373 0.373 0.627
Tl: 0.373 0.627 0.373
Tl: 0.473 0.153 0.847
Tl: 0.473 0.847 0.153
Tl: 0.500 0.140 0.500
Tl: 0.500 0.500 0.140
Tl: 0.500 0.500 0.860
Tl: 0.500 0.860 0.500
Tl: 0.527 0.153 0.153
Tl: 0.527 0.847 0.847
Tl: 0.627 0.373 0.373
Tl: 0.627 0.627 0.627
Tl: 0.707 0.055 0.707
Tl: 0.707 0.293 0.945
Tl: 0.707 0.707 0.055
Tl: 0.707 0.945 0.293
Tl: 0.777 0.000 0.000
Tl: 0.847 0.153 0.473
Tl: 0.847 0.473 0.153
Tl: 0.847 0.527 0.847
Tl: 0.847 0.847 0.527
Tl: 0.860 0.500 0.500
Tl: 0.945 0.293 0.707
Tl: 0.945 0.707 0.293
Cd: 0.209 0.209 0.791
Cd: 0.209 0.791 0.209
Cd: 0.341 0.341 0.341
Cd: 0.341 0.659 0.659
Cd: 0.659 0.341 0.659
Cd: 0.659 0.659 0.341
Cd: 0.791 0.209 0.209
Cd: 0.791 0.791 0.791



Ag3Pb11: simulated X-ray powder pattern (CuKα), based on DFT lattice parameters and positions (PBE).
Neutral-atom scattering factors, no anomalous dispersion.

Main lines, in order of rising 2θ (10° ≤ 2θ ≤ 90°):
Position (°2θ)	I (rel.)
30.8	17.9
32.8	100.0
33.0	90.5
36.8	34.5
37.0	33.5
40.6	21.1
53.5	11.7
56.0	13.5
56.1	13.0
64.3	13.6

Structure:
Unit cell a=8.859 b=8.859 c=6.926 alpha=112.82 beta=112.82 gamma=60.26
Fractional positions:
Ag: 0.000 0.000 0.000
Ag: 0.260 0.260 0.807
Ag: 0.533 0.533 0.539
Pb: 0.122 0.635 0.133
Pb: 0.183 0.579 0.621
Pb: 0.339 0.932 0.394
Pb: 0.389 0.888 0.907
Pb: 0.520 0.520 0.076
Pb: 0.579 0.183 0.621
Pb: 0.635 0.122 0.133
Pb: 0.764 0.764 0.716
Pb: 0.888 0.389 0.907
Pb: 0.932 0.339 0.394
Pb: 0.993 0.993 0.548



LaNdPI: simulated X-ray powder pattern (CuKα), based on DFT lattice parameters and positions (PBE).
Neutral-atom scattering factors, no anomalous dispersion.

Main lines, in order of rising 2θ (10° ≤ 2θ ≤ 90°):
Position (°2θ)	I (rel.)
24.4	15.3
28.6	100.0
30.9	34.0
34.7	15.0
39.4	24.0
42.3	40.4
51.9	18.7
55.9	23.0
57.2	12.3
69.1	15.7

Structure:
Unit cell a=8.128 b=8.128 c=8.128 alpha=30.46 beta=30.46 gamma=30.46
Fractional positions:
La: 0.000 0.000 0.000
Nd: 0.540 0.540 0.540
P: 0.268 0.268 0.268
I: 0.772 0.772 0.772



H12PtN4Cl2: simulated X-ray powder pattern (CuKα), based on DFT lattice parameters and positions (PBE).
Neutral-atom scattering factors, no anomalous dispersion.

Main lines, in order of rising 2θ (10° ≤ 2θ ≤ 90°):
Position (°2θ)	I (rel.)
12.7	100.0
18.0	13.7
24.8	31.4
25.6	17.3
28.0	42.0
28.6	20.7
33.4	14.1
35.9	19.3
36.5	16.5
46.6	24.2

Structure:
Unit cell a=8.128 b=8.128 c=8.128 alpha=105.35 beta=105.35 gamma=118.07
Fractional positions:
H: 0.070 0.831 0.240
H: 0.096 0.257 0.667
H: 0.096 0.428 0.838
H: 0.169 0.409 0.240
H: 0.169 0.930 0.760
H: 0.257 0.096 0.667
H: 0.257 0.590 0.162
H: 0.409 0.169 0.240
H: 0.410 0.572 0.667
H: 0.410 0.743 0.838
H: 0.428 0.096 0.838
H: 0.428 0.590 0.333
H: 0.572 0.410 0.667
H: 0.572 0.904 0.162
H: 0.590 0.257 0.162
H: 0.590 0.428 0.333
H: 0.591 0.831 0.760
H: 0.743 0.410 0.838
H: 0.743 0.904 0.333
H: 0.831 0.070 0.240
H: 0.831 0.591 0.760
H: 0.904 0.572 0.162
H: 0.904 0.743 0.333
H: 0.930 0.169 0.760
Pt: 0.291 0.291 0.000
Pt: 0.709 0.709 0.000
N: 0.078 0.287 0.791
N: 0.287 0.078 0.791
N: 0.287 0.496 0.209
N: 0.496 0.287 0.209
N: 0.504 0.713 0.791
N: 0.713 0.504 0.791
N: 0.713 0.922 0.209
N: 0.922 0.713 0.209
Cl: 0.229 0.229 0.457
Cl: 0.229 0.771 0.000
Cl: 0.771 0.229 0.000
Cl: 0.771 0.771 0.543



AsPd2O5: simulated X-ray powder pattern (CuKα), based on DFT lattice parameters and positions (PBE).
Neutral-atom scattering factors, no anomalous dispersion.

Main lines, in order of rising 2θ (10° ≤ 2θ ≤ 90°):
Position (°2θ)	I (rel.)
17.0	38.7
24.2	26.8
34.5	42.6
35.8	100.0
43.6	34.6
49.6	34.1
53.3	13.5
62.6	38.9
65.0	14.3
75.7	17.5

Structure:
Unit cell a=5.201 b=5.201 c=3.438 alpha=90.00 beta=90.00 gamma=90.00
Fractional positions:
As: 0.000 0.000 0.000
Pd: 0.000 0.500 0.500
Pd: 0.500 0.000 0.500
O: 0.000 0.000 0.500
O: 0.250 0.250 0.000
O: 0.250 0.750 0.000
O: 0.750 0.250 0.000
O: 0.750 0.750 0.000



Zn3N2: simulated X-ray powder pattern (CuKα), based on DFT lattice parameters and positions (PBE).
Neutral-atom scattering factors, no anomalous dispersion.

Main lines, in order of rising 2θ (10° ≤ 2θ ≤ 90°):
Position (°2θ)	I (rel.)
22.2	7.7
34.3	100.0
36.7	93.0
43.4	64.2
51.1	9.7
52.9	81.3
66.1	11.8
70.7	44.9
76.7	31.3
88.2	9.0

Structure:
Unit cell a=8.476 b=8.476 c=8.476 alpha=109.47 beta=109.47 gamma=109.47
Fractional positions:
Zn: 0.023 0.474 0.751
Zn: 0.026 0.049 0.277
Zn: 0.049 0.277 0.026
Zn: 0.223 0.272 0.749
Zn: 0.228 0.451 0.477
Zn: 0.249 0.977 0.526
Zn: 0.251 0.777 0.728
Zn: 0.272 0.749 0.223
Zn: 0.277 0.026 0.049
Zn: 0.451 0.477 0.228
Zn: 0.474 0.751 0.023
Zn: 0.477 0.228 0.451
Zn: 0.523 0.772 0.549
Zn: 0.526 0.249 0.977
Zn: 0.549 0.523 0.772
Zn: 0.723 0.974 0.951
Zn: 0.728 0.251 0.777
Zn: 0.749 0.223 0.272
Zn: 0.751 0.023 0.474
Zn: 0.772 0.549 0.523
Zn: 0.777 0.728 0.251
Zn: 0.951 0.723 0.974
Zn: 0.974 0.951 0.723
Zn: 0.977 0.526 0.249
N: 0.000 0.000 0.500
N: 0.000 0.500 0.000
N: 0.020 0.750 0.770
N: 0.230 0.980 0.250
N: 0.250 0.230 0.980
N: 0.250 0.730 0.480
N: 0.270 0.520 0.750
N: 0.480 0.250 0.730
N: 0.500 0.000 0.000
N: 0.500 0.500 0.500
N: 0.520 0.750 0.270
N: 0.730 0.480 0.250
N: 0.750 0.270 0.520
N: 0.750 0.770 0.020
N: 0.770 0.020 0.750
N: 0.980 0.250 0.230



CsHf8: simulated X-ray powder pattern (CuKα), based on DFT lattice parameters and positions (PBE).
Neutral-atom scattering factors, no anomalous dispersion.

Main lines, in order of rising 2θ (10° ≤ 2θ ≤ 90°):
Position (°2θ)	I (rel.)
19.7	85.7
30.8	48.3
34.4	49.7
34.5	100.0
36.9	75.9
46.8	28.9
47.0	58.6
51.3	18.3
61.6	16.9
75.0	21.5

Structure:
Unit cell a=2.900 b=10.391 c=10.391 alpha=119.68 beta=90.00 gamma=90.00
Fractional positions:
Cs: 0.000 0.000 0.000
Hf: 0.500 0.176 0.350
Hf: 0.500 0.177 0.828
Hf: 0.500 0.333 0.664
Hf: 0.500 0.350 0.176
Hf: 0.500 0.650 0.820
Hf: 0.500 0.664 0.333
Hf: 0.500 0.820 0.650
Hf: 0.500 0.828 0.177



Zn5Cd: simulated X-ray powder pattern (CuKα), based on DFT lattice parameters and positions (PBE).
Neutral-atom scattering factors, no anomalous dispersion.

Main lines, in order of rising 2θ (10° ≤ 2θ ≤ 90°):
Position (°2θ)	I (rel.)
28.5	5.5
37.3	24.1
38.0	30.0
42.1	100.0
54.3	15.5
67.3	14.9
71.5	19.0
80.0	17.9
81.3	2.9
82.6	12.2

Structure:
Unit cell a=4.821 b=4.821 c=4.732 alpha=90.00 beta=90.00 gamma=120.00
Fractional positions:
Zn: 0.000 0.650 0.000
Zn: 0.333 0.667 0.500
Zn: 0.350 0.350 0.000
Zn: 0.650 0.000 0.000
Zn: 0.667 0.333 0.500
Cd: 0.000 0.000 0.500



K3SmI6: simulated X-ray powder pattern (CuKα), based on DFT lattice parameters and positions (PBE).
Neutral-atom scattering factors, no anomalous dispersion.

Main lines, in order of rising 2θ (10° ≤ 2θ ≤ 90°):
Position (°2θ)	I (rel.)
12.1	53.6
14.3	47.6
23.2	100.0
24.0	49.1
24.2	40.2
24.4	90.3
28.8	35.2
32.2	60.7
36.2	42.8
43.1	55.1

Structure:
Unit cell a=8.448 b=9.106 c=14.757 alpha=90.00 beta=123.86 gamma=90.00
Fractional positions:
K: 0.000 0.000 0.000
K: 0.000 0.500 0.500
K: 0.206 0.090 0.744
K: 0.206 0.410 0.244
K: 0.794 0.590 0.756
K: 0.794 0.910 0.256
Sm: 0.500 0.000 0.500
Sm: 0.500 0.500 0.000
I: 0.140 0.177 0.437
I: 0.140 0.323 0.937
I: 0.260 0.713 0.423
I: 0.260 0.787 0.923
I: 0.409 0.054 0.268
I: 0.409 0.446 0.768
I: 0.591 0.554 0.232
I: 0.591 0.946 0.732
I: 0.740 0.213 0.077
I: 0.740 0.287 0.577
I: 0.860 0.677 0.063
I: 0.860 0.823 0.563



Na3Ga4Ni4: simulated X-ray powder pattern (CuKα), based on DFT lattice parameters and positions (PBE).
Neutral-atom scattering factors, no anomalous dispersion.

Main lines, in order of rising 2θ (10° ≤ 2θ ≤ 90°):
Position (°2θ)	I (rel.)
17.1	100.0
24.3	20.0
34.6	52.1
38.8	61.4
46.3	74.0
53.0	64.3
59.1	14.1
64.8	12.4
80.8	28.4
88.4	14.6

Structure:
Unit cell a=6.351 b=6.351 c=6.351 alpha=109.47 beta=109.47 gamma=109.47
Fractional positions:
Na: 0.000 0.500 0.500
Na: 0.500 0.000 0.500
Na: 0.500 0.500 0.000
Ga: 0.000 0.000 0.393
Ga: 0.000 0.393 0.000
Ga: 0.393 0.000 0.000
Ga: 0.607 0.607 0.607
Ni: 0.000 0.000 0.759
Ni: 0.000 0.759 0.000
Ni: 0.241 0.241 0.241
Ni: 0.759 0.000 0.000